[1]
The following is a theoretical powder XRD pattern of AlSe2Cl4. It was derived from a crystal structure in the Materials Project, relaxed with PBE, using Cu Kα (weighted mean of Kα1 and Kα2).

Structural model:
abc: 13.9726 13.9904 9.3520
angles: 90.00 90.00 90.00
Positions (direct):
Al 0.1016 0.1684 0.0000
Al 0.1606 0.6155 0.5000
Al 0.3394 0.1155 0.5000
Al 0.3984 0.6684 0.0000
Al 0.6016 0.3316 0.0000
Al 0.6606 0.8845 0.5000
Al 0.8394 0.3845 0.5000
Al 0.8984 0.8316 0.0000
Se 0.0000 0.0000 0.3227
Se 0.0000 0.0000 0.6773
Se 0.0000 0.5000 0.1774
Se 0.0000 0.5000 0.8226
Se 0.0141 0.1174 0.5000
Se 0.1156 0.5252 0.0000
Se 0.3844 0.0252 0.0000
Se 0.4859 0.6174 0.5000
Se 0.5000 0.0000 0.1774
Se 0.5000 0.0000 0.8226
Se 0.5000 0.5000 0.3227
Se 0.5000 0.5000 0.6773
Se 0.5141 0.3826 0.5000
Se 0.6156 0.9748 0.0000
Se 0.8844 0.4748 0.0000
Se 0.9859 0.8826 0.5000
Cl 0.0081 0.6353 0.5000
Cl 0.0110 0.1999 0.1851
Cl 0.0110 0.1999 0.8149
Cl 0.1347 0.0182 0.0000
Cl 0.1995 0.5285 0.3143
Cl 0.1995 0.5285 0.6857
Cl 0.2253 0.2569 0.0000
Cl 0.2382 0.7462 0.5000
Cl 0.2618 0.2462 0.5000
Cl 0.2747 0.7569 0.0000
Cl 0.3005 0.0285 0.3143
Cl 0.3005 0.0285 0.6857
Cl 0.3653 0.5182 0.0000
Cl 0.4890 0.6999 0.1851
Cl 0.4890 0.6999 0.8149
Cl 0.4919 0.1353 0.5000
Cl 0.5081 0.8647 0.5000
Cl 0.5110 0.3001 0.1851
Cl 0.5110 0.3001 0.8149
Cl 0.6347 0.4818 0.0000
Cl 0.6995 0.9715 0.3143
Cl 0.6995 0.9715 0.6857
Cl 0.7253 0.2431 0.0000
Cl 0.7382 0.7538 0.5000
Cl 0.7618 0.2538 0.5000
Cl 0.7747 0.7431 0.0000
Cl 0.8005 0.4715 0.3143
Cl 0.8005 0.4715 0.6857
Cl 0.8653 0.9818 0.0000
Cl 0.9890 0.8001 0.1851
Cl 0.9890 0.8001 0.8149
Cl 0.9919 0.3647 0.5000

Most intense lines, 2θ from 15° to 90°, sorted by position:
- 2θ 20.1, I = 697
- 2θ 22.2, I = 876
- 2θ 25.5, I = 666
- 2θ 27.2, I = 722
- 2θ 30.1, I = 432
- 2θ 31.4, I = 477
- 2θ 34.5, I = 1000
- 2θ 38.7, I = 394
- 2θ 39.8, I = 619
- 2θ 51.0, I = 446

=====

[2]
The following is a theoretical powder XRD pattern of Sr3ScN3. It was derived from a crystal structure in the Materials Project, relaxed with PBE, using Cu Kα (weighted mean of Kα1 and Kα2).

Structural model:
abc: 7.9877 7.9877 5.3875
angles: 90.00 90.00 120.00
Positions (direct):
Sr 0.0703 0.3422 0.2500
Sr 0.2719 0.9297 0.2500
Sr 0.3422 0.2719 0.7500
Sr 0.6578 0.7281 0.2500
Sr 0.7281 0.0703 0.7500
Sr 0.9297 0.6578 0.7500
Sc 0.3333 0.6667 0.7500
Sc 0.6667 0.3333 0.2500
N 0.0973 0.3904 0.7500
N 0.2930 0.9027 0.7500
N 0.3904 0.2930 0.2500
N 0.6096 0.7070 0.7500
N 0.7070 0.0973 0.2500
N 0.9027 0.6096 0.2500

Most intense lines, 2θ from 15° to 90°, sorted by position:
- 2θ 22.3, I = 247
- 2θ 27.8, I = 1000
- 2θ 30.7, I = 627
- 2θ 33.3, I = 501
- 2θ 34.3, I = 400
- 2θ 39.1, I = 313
- 2θ 47.4, I = 258
- 2θ 48.5, I = 280
- 2θ 52.2, I = 258
- 2θ 59.1, I = 261

=====

[3]
The following is a theoretical powder XRD pattern of ThSnPd2. It was derived from a crystal structure in the Materials Project, relaxed with PBE, using Cu Kα (weighted mean of Kα1 and Kα2).

Structural model:
abc: 7.0008 7.0008 7.0008
angles: 90.00 90.00 90.00
Positions (direct):
Th 0.0000 0.0000 0.0000
Th 0.0000 0.5000 0.5000
Th 0.5000 0.0000 0.5000
Th 0.5000 0.5000 0.0000
Sn 0.0000 0.0000 0.5000
Sn 0.0000 0.5000 0.0000
Sn 0.5000 0.0000 0.0000
Sn 0.5000 0.5000 0.5000
Pd 0.2500 0.2500 0.2500
Pd 0.2500 0.2500 0.7500
Pd 0.2500 0.7500 0.2500
Pd 0.2500 0.7500 0.7500
Pd 0.7500 0.2500 0.2500
Pd 0.7500 0.2500 0.7500
Pd 0.7500 0.7500 0.2500
Pd 0.7500 0.7500 0.7500

Most intense lines, 2θ from 15° to 90°, sorted by position:
- 2θ 22.0, I = 76
- 2θ 25.4, I = 61
- 2θ 36.3, I = 1000
- 2θ 42.8, I = 41
- 2θ 44.8, I = 20
- 2θ 52.3, I = 178
- 2θ 59.0, I = 29
- 2θ 65.3, I = 366
- 2θ 77.1, I = 115
- 2θ 88.3, I = 169

=====

[4]
The following is a theoretical powder XRD pattern of LiSbPO2F6. It was derived from a crystal structure in the Materials Project, relaxed with PBE, using Cu Kα (weighted mean of Kα1 and Kα2).

Structural model:
abc: 6.1357 7.6210 8.0837
angles: 91.35 104.37 95.19
Positions (direct):
Li 0.0000 0.0000 0.0000
Li 0.3694 0.3821 0.6192
Sb 0.2034 0.8892 0.6778
Sb 0.3008 0.4132 0.1550
P 0.4900 0.8284 0.1526
P 0.9571 0.4665 0.7774
O 0.1632 0.3963 0.9007
O 0.2856 0.8996 0.0523
O 0.5092 0.6292 0.1415
O 0.9264 0.6557 0.7732
F 0.0154 0.8537 0.4465
F 0.0759 0.5556 0.1893
F 0.1057 0.2033 0.1687
F 0.3215 0.1362 0.6128
F 0.3240 0.6122 0.6602
F 0.4370 0.4136 0.3956
F 0.5277 0.2794 0.1121
F 0.5489 0.8893 0.3433
F 0.7059 0.9071 0.0978
F 0.7439 0.3582 0.8132
F 0.9519 0.3764 0.6014
F 0.9620 0.0149 0.7619

Most intense lines, 2θ from 15° to 90°, sorted by position:
- 2θ 15.9, I = 385
- 2θ 16.4, I = 480
- 2θ 16.7, I = 343
- 2θ 19.6, I = 1000
- 2θ 20.7, I = 486
- 2θ 21.0, I = 299
- 2θ 22.7, I = 848
- 2θ 23.0, I = 447
- 2θ 23.5, I = 737
- 2θ 30.4, I = 332

=====

Which formula does entry 3 have?
ThSnPd2

=====

Copy entry 4 word for word.
The following is a theoretical powder XRD pattern of LiSbPO2F6. It was derived from a crystal structure in the Materials Project, relaxed with PBE, using Cu Kα (weighted mean of Kα1 and Kα2).

Structural model:
abc: 6.1357 7.6210 8.0837
angles: 91.35 104.37 95.19
Positions (direct):
Li 0.0000 0.0000 0.0000
Li 0.3694 0.3821 0.6192
Sb 0.2034 0.8892 0.6778
Sb 0.3008 0.4132 0.1550
P 0.4900 0.8284 0.1526
P 0.9571 0.4665 0.7774
O 0.1632 0.3963 0.9007
O 0.2856 0.8996 0.0523
O 0.5092 0.6292 0.1415
O 0.9264 0.6557 0.7732
F 0.0154 0.8537 0.4465
F 0.0759 0.5556 0.1893
F 0.1057 0.2033 0.1687
F 0.3215 0.1362 0.6128
F 0.3240 0.6122 0.6602
F 0.4370 0.4136 0.3956
F 0.5277 0.2794 0.1121
F 0.5489 0.8893 0.3433
F 0.7059 0.9071 0.0978
F 0.7439 0.3582 0.8132
F 0.9519 0.3764 0.6014
F 0.9620 0.0149 0.7619

Most intense lines, 2θ from 15° to 90°, sorted by position:
- 2θ 15.9, I = 385
- 2θ 16.4, I = 480
- 2θ 16.7, I = 343
- 2θ 19.6, I = 1000
- 2θ 20.7, I = 486
- 2θ 21.0, I = 299
- 2θ 22.7, I = 848
- 2θ 23.0, I = 447
- 2θ 23.5, I = 737
- 2θ 30.4, I = 332